# 1
AcPmAsO2: calculated X-ray diffraction stick pattern (Cu Kα), based on the GGA-PBE geometry in Alexandria.
No peak broadening, texture or thermal motion is included.

Main lines, sorted by position (10° ≤ 2θ ≤ 80°):
- d = 6.818 Å, I 12.3
- d = 3.851 Å, I 18.3
- d = 3.009 Å, I 100.0
- d = 2.839 Å, I 37.4
- d = 2.181 Å, I 10.1
- d = 2.007 Å, I 18.8
- d = 1.774 Å, I 22.8
- d = 1.670 Å, I 36.0
- d = 1.504 Å, I 10.5
- d = 1.418 Å, I 14.5

```
data_AcPmAsO2
_cell_length_a 4.014
_cell_length_b 4.014
_cell_length_c 13.637
_cell_angle_alpha 90.00
_cell_angle_beta 90.00
_cell_angle_gamma 90.00
_symmetry_space_group_name_H-M 'I 4 m m'
_symmetry_Int_Tables_number 107
_symmetry_space_group_name_Hall 'I 4 -2'
loop_
_atom_site_label
_atom_site_type_symbol
_atom_site_fract_x
_atom_site_fract_y
_atom_site_fract_z
_atom_site_occupancy
Ac1 Ac 0.000 0.000 0.000 1
Pm1 Pm 0.000 0.000 0.314 1
As1 As 0.000 0.000 0.659 1
O1 O 0.000 0.500 0.399 1
```


# 2
TlSn3S4: calculated X-ray diffraction stick pattern (Cu Kα), based on the GGA-PBE geometry in Alexandria.
No peak broadening, texture or thermal motion is included.

Main lines, sorted by position (10° ≤ 2θ ≤ 80°):
- d = 3.401 Å, I 36.8
- d = 3.355 Å, I 35.2
- d = 2.925 Å, I 100.0
- d = 2.089 Å, I 12.5
- d = 2.069 Å, I 49.2
- d = 1.773 Å, I 13.8
- d = 1.754 Å, I 12.6
- d = 1.700 Å, I 13.1
- d = 1.678 Å, I 12.8
- d = 1.308 Å, I 22.4

```
data_TlSn3S4
_cell_length_a 4.095
_cell_length_b 11.708
_cell_length_c 8.355
_cell_angle_alpha 90.00
_cell_angle_beta 90.00
_cell_angle_gamma 90.00
_symmetry_space_group_name_H-M 'A m m 2'
_symmetry_Int_Tables_number 38
_symmetry_space_group_name_Hall 'A 2 -2'
loop_
_atom_site_label
_atom_site_type_symbol
_atom_site_fract_x
_atom_site_fract_y
_atom_site_fract_z
_atom_site_occupancy
Tl1 Tl 0.000 0.000 0.000 1
Sn1 Sn 0.000 0.000 0.500 1
Sn2 Sn 0.500 0.250 0.249 1
S1 S 0.000 0.240 0.502 1
S2 S 0.500 0.000 0.271 1
S3 S 0.500 0.000 0.729 1
```


> Number 1 is which compound?

AcPmAsO2